Calculated X-ray powder pattern of Li2V3P4O14 for Cu Ka, from the PBE+U geometry in the Materials Project.

Main lines, sorted by position (2θ = 5–70°):
| 2θ/deg | I (rel.) | h k l |
| --- | --- | --- |
| 14.11 | 724 | 0 1 0 |
| 20.95 | 350 | 0 1 -1 |
| 25.33 | 997 | 0 1 2 |
| 27.25 | 470 | 1 2 0 |
| 30.28 | 1000 | 1 -1 1 |
| 31.59 | 696 | 1 2 2 |
| 32.25 | 635 | 2 1 0 |
| 33.00 | 964 | 1 2 -1 |
| 33.97 | 347 | -1 1 2 |
| 41.16 | 301 | 1 0 3 |
| 53.69 | 331 | 2 1 -3 |
| 56.02 | 314 | 0 3 -2 |

Crystal structure
```
Li2V3P4O14
1.0
5.6014 0.0000 0.0000
2.7197 6.4767 0.0000
0.9386 1.8279 7.1931
Li V P O
2 3 4 14
Direct
0.1434 0.0254 0.1904 Li
0.8566 0.9746 0.8096 Li
0.3071 0.4852 0.1887 V
0.5000 0.0000 0.5000 V
0.6929 0.5148 0.8113 V
0.1511 0.6866 0.5679 P
0.3049 0.2638 0.8439 P
0.6951 0.7362 0.1561 P
0.8489 0.3134 0.4321 P
0.0508 0.2635 0.9476 O
0.1315 0.2234 0.3571 O
0.1713 0.7268 0.3578 O
0.2362 0.4343 0.6419 O
0.3360 0.7561 0.6494 O
0.4506 0.3447 0.9500 O
0.4706 0.0618 0.7831 O
0.5294 0.9382 0.2169 O
0.5494 0.6553 0.0500 O
0.6640 0.2439 0.3506 O
0.7638 0.5657 0.3581 O
0.8287 0.2732 0.6422 O
0.8685 0.7766 0.6429 O
0.9492 0.7365 0.0524 O
```